(1)
Structure and simulated XRD peak list of Na3Hf3NiS8 (a GGA-PBE-relaxed structure; Cu Kα, 1.54184 Å).
Peak positions follow from Bragg's law for the DFT cell and can differ from measured ones.

a = 7.989 Å, b = 7.989 Å, c = 7.989 Å
α = 54.30°, β = 54.30°, γ = 54.30°
Atoms (fractional coordinates):
Na 0.000 0.500 0.500
Na 0.500 0.000 0.500
Na 0.500 0.500 0.000
Hf 0.000 0.000 0.500
Hf 0.000 0.500 0.000
Hf 0.500 0.000 0.000
Ni 0.500 0.500 0.500
S 0.240 0.240 0.240
S 0.241 0.733 0.733
S 0.267 0.267 0.759
S 0.267 0.759 0.267
S 0.733 0.241 0.733
S 0.733 0.733 0.241
S 0.759 0.267 0.267
S 0.760 0.760 0.760

Principal peaks in the range 10 to 90 degrees two-theta, sorted by position:
d (Å), I/Imax
6.790, 100.0
3.120, 33.8
2.683, 77.8
2.140, 21.0
1.982, 28.6
1.823, 24.5


(2)
Structure and simulated XRD peak list of NaHfNiTe3 (a GGA-PBE-relaxed structure; Cu Kα, 1.54184 Å).
Peak positions follow from Bragg's law for the DFT cell and can differ from measured ones.

a = 8.565 Å, b = 3.927 Å, c = 10.404 Å
α = 90.00°, β = 111.82°, γ = 90.00°
Atoms (fractional coordinates):
Na 0.234 0.250 0.212
Na 0.766 0.750 0.788
Hf 0.206 0.750 0.680
Hf 0.794 0.250 0.320
Ni 0.409 0.250 0.896
Ni 0.591 0.750 0.104
Te 0.064 0.750 0.368
Te 0.269 0.750 0.967
Te 0.435 0.250 0.657
Te 0.565 0.750 0.343
Te 0.731 0.250 0.033
Te 0.936 0.250 0.632

Principal peaks in the range 10 to 90 degrees two-theta, sorted by position:
d (Å), I/Imax
7.702, 100.0
3.521, 23.8
3.220, 36.0
2.893, 57.9
2.597, 24.4
2.122, 33.3


(3)
Structure and simulated XRD peak list of NaHf2P3O12 (a GGA-PBE-relaxed structure; Cu Kα, 1.54184 Å).
Peak positions follow from Bragg's law for the DFT cell and can differ from measured ones.

a = 9.169 Å, b = 9.169 Å, c = 9.169 Å
α = 57.79°, β = 57.79°, γ = 57.79°
Atoms (fractional coordinates):
Na 0.000 0.000 0.000
Na 0.500 0.500 0.500
Hf 0.145 0.145 0.145
Hf 0.355 0.355 0.355
Hf 0.645 0.645 0.645
Hf 0.855 0.855 0.855
P 0.040 0.750 0.460
P 0.250 0.540 0.960
P 0.460 0.040 0.750
P 0.540 0.960 0.250
P 0.750 0.460 0.040
P 0.960 0.250 0.540
O 0.005 0.789 0.622
O 0.063 0.918 0.280
O 0.082 0.720 0.937
O 0.122 0.289 0.505
O 0.211 0.378 0.995
O 0.220 0.582 0.437
O 0.280 0.063 0.918
O 0.289 0.505 0.122
O 0.378 0.995 0.211
O 0.418 0.563 0.780
O 0.437 0.220 0.582
O 0.495 0.878 0.711
O 0.505 0.122 0.289
O 0.563 0.780 0.418
O 0.582 0.437 0.220
O 0.622 0.005 0.789
O 0.711 0.495 0.878
O 0.720 0.937 0.082
O 0.780 0.418 0.563
O 0.789 0.622 0.005
O 0.878 0.711 0.495
O 0.918 0.280 0.063
O 0.937 0.082 0.720
O 0.995 0.211 0.378

Principal peaks in the range 10 to 90 degrees two-theta, sorted by position:
d (Å), I/Imax
4.579, 79.5
4.430, 100.0
3.184, 42.6
2.886, 59.6
2.586, 30.4
2.558, 33.2